Entry 1:
Starting from the PBE geometry in Alexandria, the powder diffractogram of PuInNi3 was simulated for Cu Kα, 1.54184 Å.

Most intense lines, 2θ = 5–70°, in order of rising 2θ:
| h k l | 2θ (°) | d [Å] | Rel. int. |
| --- | --- | --- | --- |
| 1 0 1 | 19.80 | 4.483 | 34 |
| 1 0 4 | 26.60 | 3.351 | 38 |
| 0 1 5 | 29.99 | 2.979 | 78 |
| 1 1 0 | 33.70 | 2.659 | 94 |
| 1 1 3 | 36.50 | 2.462 | 32 |
| 1 0 7 | 37.69 | 2.387 | 53 |
| 0 2 1 | 39.40 | 2.287 | 62 |
| 0 2 4 | 43.44 | 2.083 | 87 |
| 2 0 5 | 45.73 | 1.984 | 100 |
| 1 1 12 | 67.46 | 1.388 | 48 |

Crystal structure
abc: 5.3186 5.3186 19.5338
angles: 90.00 90.00 120.00
Space group R-3m (No. 166, hexagonal axes)
Unique sites:
Pu1 0.0000 0.0000 0.0888 (multiplicity 6)
In1 0.0000 0.0000 0.3322 (multiplicity 6)
Ni1 0.0005 0.5003 0.8834 (multiplicity 18)



Entry 2:
Starting from the PBE geometry in Alexandria, the powder diffractogram of InHgI2 was simulated for Cu Kα, 1.54184 Å.

Most intense lines, 2θ = 5–70°, in order of rising 2θ:
| h k l | 2θ (°) | d [Å] | Rel. int. |
| --- | --- | --- | --- |
| 1 1 1 | 25.13 | 3.544 | 100 |
| 2 0 -2 | 28.21 | 3.164 | 38 |
| 2 0 2 | 34.95 | 2.567 | 20 |
| 0 2 0 | 36.70 | 2.449 | 19 |
| 1 1 -3 | 37.81 | 2.380 | 35 |
| 3 1 -1 | 38.45 | 2.341 | 33 |
| 2 2 -2 | 46.92 | 1.936 | 19 |
| 2 2 2 | 51.58 | 1.772 | 13 |
| 1 3 1 | 59.39 | 1.556 | 19 |
| 3 1 -5 | 64.09 | 1.453 | 14 |

Crystal structure
abc: 8.056 4.897 8.245
angles: 90.00 101.89 90.00
Space group C2/m (No. 12)
Unique sites:
In1 0.000 0.000 0.000 (multiplicity 2)
Hg1 0.000 0.500 0.500 (multiplicity 2)
I1 0.231 0.500 0.233 (multiplicity 4)